1.
# Pm4PbAu3
Computed powder diffractogram, Cu Kα X-rays. Input: a GGA-PBE-relaxed structure.
No peak broadening, texture or thermal motion is included.

Main lines, sorted by position (2θ from 5° to 70°):
| hkl | Position (°2θ) | I/Imax |
| --- | --- | --- |
| 1 1 1 | 30.19 | 83 |
| 0 0 4 | 31.18 | 25 |
| 0 1 4 | 36.52 | 24 |
| 0 2 0 | 37.62 | 100 |
| 2 0 0 | 45.45 | 17 |
| 0 2 4 | 49.63 | 15 |
| 2 1 4 | 59.66 | 13 |
| 2 2 0 | 60.43 | 15 |
| 1 3 1 | 63.35 | 10 |
| 1 3 3 | 67.90 | 14 |

Cell lengths 3.991, 4.782, 11.476 Å; angles 90.00, 90.00, 90.00 degrees
Space group Pmm2 (No. 25)
Inequivalent atoms, fractional coordinates:
Pm1 0.000 0.000 0.000 (multiplicity 1)
Pm2 0.000 0.500 0.262 (multiplicity 1)
Pm3 0.500 0.000 0.476 (multiplicity 1)
Pm4 0.500 0.500 0.775 (multiplicity 1)
Pb1 0.000 0.000 0.711 (multiplicity 1)
Au1 0.000 0.500 0.529 (multiplicity 1)
Au2 0.500 0.000 0.211 (multiplicity 1)
Au3 0.500 0.500 0.044 (multiplicity 1)


2.
# PmRhPbAu
Computed powder diffractogram, Cu Kα X-rays. Input: a GGA-PBE-relaxed structure.
No peak broadening, texture or thermal motion is included.

Main lines, sorted by position (2θ from 5° to 70°):
| hkl | Position (°2θ) | I/Imax |
| --- | --- | --- |
| 1 1 1 | 21.79 | 6 |
| 2 0 0 | 25.21 | 1 |
| 2 2 0 | 35.96 | 100 |
| 3 1 1 | 42.44 | 4 |
| 4 0 0 | 51.76 | 18 |
| 3 3 1 | 56.80 | 2 |
| 4 2 2 | 64.63 | 37 |
| 5 1 1 | 69.09 | 1 |

Cell lengths 7.065, 7.065, 7.065 Å; angles 90.00, 90.00, 90.00 degrees
Space group F-43m (No. 216)
Inequivalent atoms, fractional coordinates:
Pm1 0.000 0.000 0.000 (multiplicity 4)
Rh1 0.250 0.250 0.750 (multiplicity 4)
Pb1 0.000 0.000 0.500 (multiplicity 4)
Au1 0.250 0.250 0.250 (multiplicity 4)


3.
# PrPbAu6
Computed powder diffractogram, Cu Kα X-rays. Input: a GGA-PBE-relaxed structure.
No peak broadening, texture or thermal motion is included.

Main lines, sorted by position (2θ from 5° to 70°):
| hkl | Position (°2θ) | I/Imax |
| --- | --- | --- |
| 1 0 0 | 15.83 | 1 |
| 1 1 0 | 22.46 | 1 |
| 2 0 0 | 31.97 | 29 |
| 2 0 1 | 35.86 | 100 |
| 2 1 1 | 39.42 | 67 |
| 2 2 2 | 56.97 | 10 |
| 3 2 0 | 59.53 | 24 |
| 3 2 1 | 62.02 | 36 |
| 4 0 0 | 66.83 | 16 |

Cell lengths 5.599, 5.599, 5.599 Å; angles 90.00, 90.00, 90.00 degrees
Space group Pm-3 (No. 200)
Inequivalent atoms, fractional coordinates:
Pr1 0.000 0.000 0.000 (multiplicity 1)
Pb1 0.500 0.500 0.500 (multiplicity 1)
Au1 0.000 0.250 0.500 (multiplicity 6)


4.
# Pt2PbAu
Computed powder diffractogram, Cu Kα X-rays. Input: a GGA-PBE-relaxed structure.
No peak broadening, texture or thermal motion is included.

Main lines, sorted by position (2θ from 5° to 70°):
| hkl | Position (°2θ) | I/Imax |
| --- | --- | --- |
| 1 1 1 | 36.56 | 100 |
| 3 1 -1 | 37.50 | 93 |
| 2 0 -2 | 42.35 | 33 |
| 0 2 0 | 43.04 | 32 |
| 4 0 0 | 43.67 | 31 |
| 2 0 2 | 61.17 | 11 |
| 2 2 -2 | 61.97 | 22 |
| 4 2 0 | 62.99 | 21 |
| 6 0 -2 | 63.74 | 10 |

Cell lengths 9.189, 4.203, 4.271 Å; angles 90.00, 115.55, 90.00 degrees
Space group C2/m (No. 12)
Inequivalent atoms, fractional coordinates:
Pt1 0.249 0.000 0.250 (multiplicity 4)
Pb1 0.000 0.500 0.000 (multiplicity 2)
Au1 0.000 0.000 0.500 (multiplicity 2)


5.
# Pt4Pb7Au
Computed powder diffractogram, Cu Kα X-rays. Input: a GGA-PBE-relaxed structure.
No peak broadening, texture or thermal motion is included.

Main lines, sorted by position (2θ from 5° to 70°):
| hkl | Position (°2θ) | I/Imax |
| --- | --- | --- |
| 2 0 -4 | 29.70 | 63 |
| 2 0 3 | 29.90 | 63 |
| 3 1 -1 | 30.47 | 78 |
| 3 1 0 | 31.00 | 46 |
| 3 1 -2 | 31.88 | 100 |
| 3 1 1 | 33.40 | 68 |
| 3 1 -3 | 35.01 | 50 |
| 6 0 -4 | 43.82 | 42 |
| 5 1 1 | 44.27 | 49 |
| 0 2 0 | 47.53 | 60 |

Cell lengths 13.766, 3.826, 12.189 Å; angles 90.00, 106.92, 90.00 degrees
Space group Cm (No. 8)
Inequivalent atoms, fractional coordinates:
Pt1 0.000 0.000 0.000 (multiplicity 2)
Pt2 0.096 0.000 0.415 (multiplicity 2)
Pt3 0.197 0.500 0.815 (multiplicity 2)
Pt4 0.296 0.000 0.205 (multiplicity 2)
Pb1 0.038 0.000 0.787 (multiplicity 2)
Pb2 0.159 0.500 0.044 (multiplicity 2)
Pb3 0.221 0.500 0.349 (multiplicity 2)
Pb4 0.222 0.000 0.641 (multiplicity 2)
Pb5 0.341 0.000 0.951 (multiplicity 2)
Pb6 0.446 0.500 0.204 (multiplicity 2)
Pb7 0.457 0.000 0.452 (multiplicity 2)
Au1 0.367 0.500 0.585 (multiplicity 2)


6.
# PtPbAu
Computed powder diffractogram, Cu Kα X-rays. Input: a GGA-PBE-relaxed structure.
No peak broadening, texture or thermal motion is included.

Main lines, sorted by position (2θ from 5° to 70°):
| hkl | Position (°2θ) | I/Imax |
| --- | --- | --- |
| 1 1 0 | 34.68 | 100 |
| 0 1 3 | 38.39 | 75 |
| 1 0 3 | 38.78 | 73 |
| 0 0 4 | 39.67 | 1 |
| 0 2 0 | 49.21 | 19 |
| 2 0 0 | 50.50 | 18 |
| 1 1 4 | 53.69 | 1 |
| 0 0 6 | 61.19 | 9 |
| 1 2 3 | 64.35 | 34 |
| 2 1 3 | 65.17 | 33 |

Cell lengths 3.615, 3.703, 9.089 Å; angles 90.00, 90.00, 90.00 degrees
Space group Imm2 (No. 44)
Inequivalent atoms, fractional coordinates:
Pt1 0.000 0.000 0.000 (multiplicity 2)
Pb1 0.000 0.000 0.666 (multiplicity 2)
Au1 0.000 0.000 0.346 (multiplicity 2)


7.
# PuPbAu10
Computed powder diffractogram, Cu Kα X-rays. Input: a GGA-PBE-relaxed structure.
No peak broadening, texture or thermal motion is included.

Main lines, sorted by position (2θ from 5° to 70°):
| hkl | Position (°2θ) | I/Imax |
| --- | --- | --- |
| 0 1 1 | 18.15 | 20 |
| 1 1 1 | 26.41 | 26 |
| 0 2 2 | 36.71 | 30 |
| 1 2 0 | 37.14 | 50 |
| 1 1 3 | 37.30 | 100 |
| 2 0 0 | 38.60 | 50 |
| 1 2 2 | 41.67 | 36 |
| 1 3 3 | 60.06 | 25 |
| 0 2 6 | 66.39 | 21 |
| 3 1 3 | 68.96 | 26 |

Cell lengths 4.665, 5.663, 9.738 Å; angles 90.00, 90.00, 90.00 degrees
Space group Pmmm (No. 47)
Inequivalent atoms, fractional coordinates:
Pu1 0.000 0.000 0.000 (multiplicity 1)
Pb1 0.000 0.500 0.500 (multiplicity 1)
Au1 0.000 0.000 0.333 (multiplicity 2)
Au2 0.000 0.500 0.166 (multiplicity 2)
Au3 0.500 0.000 0.500 (multiplicity 1)
Au4 0.500 0.246 0.244 (multiplicity 4)
Au5 0.500 0.500 0.000 (multiplicity 1)


8.
# RbPb4Au4
Computed powder diffractogram, Cu Kα X-rays. Input: a GGA-PBE-relaxed structure.
No peak broadening, texture or thermal motion is included.

Main lines, sorted by position (2θ from 5° to 70°):
| hkl | Position (°2θ) | I/Imax |
| --- | --- | --- |
| 1 1 0 | 12.76 | 95 |
| 2 0 0 | 18.09 | 28 |
| 1 3 0 | 28.78 | 100 |
| 1 0 2 | 31.91 | 80 |
| 2 3 1 | 36.42 | 33 |
| 4 0 0 | 36.64 | 37 |
| 3 3 0 | 38.95 | 39 |
| 3 0 2 | 41.41 | 87 |
| 1 4 2 | 49.37 | 28 |
| 4 3 2 | 56.47 | 31 |

Cell lengths 9.810, 9.810, 5.853 Å; angles 90.00, 90.00, 90.00 degrees
Space group P4_2/n (No. 86, origin choice 2)
Inequivalent atoms, fractional coordinates:
Rb1 0.250 0.250 0.250 (multiplicity 2)
Pb1 0.119 0.625 0.145 (multiplicity 8)
Au1 0.078 0.921 0.154 (multiplicity 8)


9.
# Rb12PbAu6
Computed powder diffractogram, Cu Kα X-rays. Input: a GGA-PBE-relaxed structure.
No peak broadening, texture or thermal motion is included.

Main lines, sorted by position (2θ from 5° to 70°):
| hkl | Position (°2θ) | I/Imax |
| --- | --- | --- |
| 2 0 0 | 14.50 | 50 |
| 2 2 2 | 25.25 | 15 |
| 3 2 1 | 27.31 | 100 |
| 4 1 1 | 31.05 | 22 |
| 4 1 3 | 37.53 | 56 |
| 6 0 0 | 44.49 | 16 |
| 5 4 1 | 48.27 | 17 |
| 5 4 3 | 52.99 | 16 |
| 6 1 5 | 59.57 | 14 |
| 8 3 1 | 65.74 | 17 |

Cell lengths 12.219, 12.219, 12.219 Å; angles 90.00, 90.00, 90.00 degrees
Space group Im-3 (No. 204)
Inequivalent atoms, fractional coordinates:
Rb1 0.000 0.176 0.303 (multiplicity 24)
Pb1 0.000 0.000 0.000 (multiplicity 2)
Au1 0.000 0.381 0.500 (multiplicity 12)


10.
# RbPbAu10
Computed powder diffractogram, Cu Kα X-rays. Input: a GGA-PBE-relaxed structure.
No peak broadening, texture or thermal motion is included.

Main lines, sorted by position (2θ from 5° to 70°):
| hkl | Position (°2θ) | I/Imax |
| --- | --- | --- |
| 0 0 2 | 17.71 | 33 |
| 0 2 0 | 30.93 | 17 |
| 0 0 4 | 35.87 | 29 |
| 1 2 0 | 36.69 | 100 |
| 2 0 0 | 39.10 | 33 |
| 1 2 2 | 41.02 | 56 |
| 2 0 4 | 54.09 | 18 |
| 1 3 3 | 58.79 | 17 |
| 0 2 6 | 64.51 | 15 |
| 3 2 0 | 69.27 | 16 |

Cell lengths 4.608, 5.792, 10.000 Å; angles 90.00, 90.00, 90.00 degrees
Space group Pmmm (No. 47)
Inequivalent atoms, fractional coordinates:
Rb1 0.000 0.000 0.000 (multiplicity 1)
Pb1 0.000 0.500 0.500 (multiplicity 1)
Au1 0.000 0.000 0.339 (multiplicity 2)
Au2 0.000 0.500 0.176 (multiplicity 2)
Au3 0.500 0.000 0.500 (multiplicity 1)
Au4 0.500 0.253 0.256 (multiplicity 4)
Au5 0.500 0.500 0.000 (multiplicity 1)


11.
# Rb12PbAu5
Computed powder diffractogram, Cu Kα X-rays. Input: a GGA-PBE-relaxed structure.
No peak broadening, texture or thermal motion is included.

Main lines, sorted by position (2θ from 5° to 70°):
| hkl | Position (°2θ) | I/Imax |
| --- | --- | --- |
| 0 0 2 | 13.86 | 46 |
| 2 0 0 | 15.39 | 72 |
| 1 2 1 | 18.23 | 45 |
| 2 2 2 | 25.70 | 37 |
| 2 1 3 | 27.11 | 42 |
| 1 3 2 | 27.68 | 100 |
| 2 3 1 | 28.29 | 79 |
| 3 2 1 | 28.59 | 58 |
| 1 1 4 | 30.00 | 46 |
| 4 0 0 | 31.07 | 39 |

Cell lengths 11.513, 11.840, 12.775 Å; angles 90.00, 90.00, 90.00 degrees
Space group Immm (No. 71)
Inequivalent atoms, fractional coordinates:
Rb1 0.000 0.181 0.245 (multiplicity 8)
Rb2 0.177 0.500 0.155 (multiplicity 8)
Rb3 0.217 0.326 0.500 (multiplicity 8)
Pb1 0.000 0.000 0.500 (multiplicity 2)
Au1 0.000 0.000 0.000 (multiplicity 2)
Au2 0.000 0.306 0.000 (multiplicity 4)
Au3 0.000 0.500 0.385 (multiplicity 4)


12.
# RbPb3Au2
Computed powder diffractogram, Cu Kα X-rays. Input: a GGA-PBE-relaxed structure.
No peak broadening, texture or thermal motion is included.

Main lines, sorted by position (2θ from 5° to 70°):
| hkl | Position (°2θ) | I/Imax |
| --- | --- | --- |
| 1 1 0 | 11.37 | 100 |
| 2 0 0 | 12.52 | 66 |
| 1 1 1 | 19.09 | 41 |
| 3 1 1 | 26.18 | 68 |
| 2 2 1 | 27.61 | 79 |
| 0 2 2 | 36.51 | 57 |
| 3 1 2 | 37.69 | 76 |
| 3 3 1 | 38.00 | 48 |
| 2 2 2 | 38.74 | 83 |
| 5 3 0 | 43.25 | 45 |

Cell lengths 14.141, 9.324, 5.796 Å; angles 90.00, 90.00, 90.00 degrees
Space group Cmcm (No. 63)
Inequivalent atoms, fractional coordinates:
Rb1 0.000 0.159 0.250 (multiplicity 4)
Pb1 0.000 0.421 0.750 (multiplicity 4)
Pb2 0.188 0.209 0.750 (multiplicity 8)
Au1 0.193 0.500 0.000 (multiplicity 8)